(1)
The following is a calculated powder diffractogram of Np2HgF9. It was derived from a structure optimized by DFT (GGA-PBE), using Cu Kα.
Lines closer than 0.1° are merged.

Structure:
```
data_Np2HgF9
_chemical_formula_sum 'Np2 Hg1 F9'
_space_group_name_H-M_alt 'P 6/m m m'
_space_group_IT_number 191
_space_group_name_Hall '-P 6 2'
_cell_length_a 7.8887
_cell_length_b 7.8887
_cell_length_c 3.5456
_cell_angle_alpha 90.00
_cell_angle_beta 90.00
_cell_angle_gamma 120.00
loop_
_atom_site_label
_atom_site_type_symbol
_atom_site_fract_x
_atom_site_fract_y
_atom_site_fract_z
Np1 Np 0.3333 0.6667 0.0000
Hg1 Hg 0.0000 0.0000 0.0000
F1 F 0.0000 0.5000 0.0000
F2 F 0.2262 0.4524 0.5000
```

Largest 6 diffraction maxima, sorted by position, 2θ from 10° to 90°:
two_theta	I/Imax
22.54	100
25.12	22
34.00	70
47.45	34
53.14	26
68.24	20

(2)
The following is a calculated powder diffractogram of AcTb2Er4. It was derived from a structure optimized by DFT (GGA-PBE), using Cu Kα.
Lines closer than 0.1° are merged.

Structure:
```
data_AcTb2Er4
_chemical_formula_sum 'Ac2 Tb4 Er8'
_space_group_name_H-M_alt 'P 1'
_space_group_IT_number 1
_cell_length_a 7.109
_cell_length_b 8.673
_cell_length_c 8.864
_cell_angle_alpha 114.28
_cell_angle_beta 101.67
_cell_angle_gamma 101.87
loop_
_space_group_symop_operation_xyz
'x,y,z'
loop_
_atom_site_label
_atom_site_type_symbol
_atom_site_fract_x
_atom_site_fract_y
_atom_site_fract_z
Ac1 Ac 0.000 0.000 0.000
Ac2 Ac 0.082 0.728 0.577
Tb1 Tb 0.191 0.291 0.434
Tb2 Tb 0.284 0.835 0.256
Tb3 Tb 0.885 0.403 0.125
Tb4 Tb 0.972 0.175 0.710
Er1 Er 0.366 0.574 0.857
Er2 Er 0.391 0.404 0.130
Er3 Er 0.482 0.173 0.716
Er4 Er 0.502 0.996 0.992
Er5 Er 0.582 0.724 0.582
Er6 Er 0.678 0.280 0.416
Er7 Er 0.771 0.834 0.257
Er8 Er 0.855 0.564 0.849
```

Largest 6 diffraction maxima, sorted by position, 2θ from 10° to 90°:
two_theta	I/Imax
29.80	38
31.06	48
31.22	100
32.29	45
32.84	43
62.03	15